Record 1
ZnMo2Ru: calculated powder diffraction line list (Cu Kα (weighted mean of Kα1 and Kα2)), based on a DFT-relaxed cell (PBE, Alexandria).
Intensities are scaled so that the largest is 100.

Principal peaks in the range 2θ = 10–90°, in order of falling intensity:
- 41.9 deg, rel. 100
- 39.8 deg, rel. 59
- 73.6 deg, rel. 36
- 57.5 deg, rel. 19
- 78.0 deg, rel. 15
- 64.0 deg, rel. 7
- 85.7 deg, rel. 6
- 31.9 deg, rel. 2
- 27.8 deg, rel. 1
- 30.7 deg, rel. 1

Atomic structure:
```
data_ZnMo2Ru
_cell_length_a 3.207
_cell_length_b 3.207
_cell_length_c 5.819
_cell_angle_alpha 90.00
_cell_angle_beta 90.00
_cell_angle_gamma 90.00
_space_group_name_H-M_alt 'P 1'
_space_group_IT_number 1
loop_
_space_group_symop_operation_xyz
'x,y,z'
loop_
_atom_site_label
_atom_site_type_symbol
_atom_site_fract_x
_atom_site_fract_y
_atom_site_fract_z
_atom_site_occupancy
Zn1 Zn 0.000 0.000 0.000 1
Mo1 Mo 0.000 0.000 0.500 1
Mo2 Mo 0.500 0.500 0.255 1
Ru1 Ru 0.500 0.500 0.773 1
```

---

Record 2
TlCdIn5Pb2: calculated powder diffraction line list (Cu Kα (weighted mean of Kα1 and Kα2)), based on a DFT-relaxed cell (PBE, Alexandria).
Intensities are scaled so that the largest is 100.

Principal peaks in the range 2θ = 10–90°, in order of falling intensity:
- 32.2 deg, rel. 100
- 34.8 deg, rel. 20
- 36.6 deg, rel. 17
- 60.8 deg, rel. 16
- 63.2 deg, rel. 14
- 40.4 deg, rel. 14
- 51.4 deg, rel. 13
- 54.4 deg, rel. 12
- 67.3 deg, rel. 11
- 68.3 deg, rel. 11

Atomic structure:
```
data_TlCdIn5Pb2
_cell_length_a 7.796
_cell_length_b 7.796
_cell_length_c 13.408
_cell_angle_alpha 90.00
_cell_angle_beta 90.00
_cell_angle_gamma 141.42
_space_group_name_H-M_alt 'P 1'
_space_group_IT_number 1
loop_
_space_group_symop_operation_xyz
'x,y,z'
loop_
_atom_site_label
_atom_site_type_symbol
_atom_site_fract_x
_atom_site_fract_y
_atom_site_fract_z
_atom_site_occupancy
Tl1 Tl 0.083 0.917 0.500 1
Tl2 Tl 0.917 0.083 0.000 1
Cd1 Cd 0.248 0.752 0.999 1
Cd2 Cd 0.752 0.248 0.499 1
In1 In 0.083 0.917 0.828 1
In2 In 0.088 0.912 0.165 1
In3 In 0.245 0.755 0.665 1
In4 In 0.250 0.750 0.330 1
In5 In 0.414 0.586 0.166 1
In6 In 0.586 0.414 0.666 1
In7 In 0.750 0.250 0.830 1
In8 In 0.755 0.245 0.165 1
In9 In 0.912 0.088 0.665 1
In10 In 0.917 0.083 0.328 1
Pb1 Pb 0.409 0.591 0.499 1
Pb2 Pb 0.411 0.589 0.829 1
Pb3 Pb 0.589 0.411 0.329 1
Pb4 Pb 0.591 0.409 0.999 1
```

---

Record 3
KRb2SbBr6: calculated powder diffraction line list (Cu Kα (weighted mean of Kα1 and Kα2)), based on a DFT-relaxed cell (PBE, Alexandria).
Intensities are scaled so that the largest is 100.

Principal peaks in the range 2θ = 10–90°, in order of falling intensity:
- 25.6 deg, rel. 100
- 30.5 deg, rel. 60
- 38.3 deg, rel. 57
- 34.2 deg, rel. 54
- 21.5 deg, rel. 41
- 12.9 deg, rel. 41
- 30.8 deg, rel. 37
- 13.4 deg, rel. 37
- 25.9 deg, rel. 32
- 43.9 deg, rel. 32

Atomic structure:
```
data_KRb2SbBr6
_cell_length_a 8.073
_cell_length_b 8.550
_cell_length_c 14.125
_cell_angle_alpha 90.00
_cell_angle_beta 124.81
_cell_angle_gamma 90.00
_space_group_name_H-M_alt 'P 1'
_space_group_IT_number 1
loop_
_space_group_symop_operation_xyz
'x,y,z'
loop_
_atom_site_label
_atom_site_type_symbol
_atom_site_fract_x
_atom_site_fract_y
_atom_site_fract_z
_atom_site_occupancy
K1 K 0.000 0.000 0.000 1
K2 K 0.000 0.500 0.500 1
Rb1 Rb 0.223 0.076 0.750 1
Rb2 Rb 0.223 0.424 0.250 1
Rb3 Rb 0.777 0.576 0.750 1
Rb4 Rb 0.777 0.924 0.250 1
Sb1 Sb 0.500 0.000 0.500 1
Sb2 Sb 0.500 0.500 0.000 1
Br1 Br 0.161 0.180 0.446 1
Br2 Br 0.161 0.320 0.946 1
Br3 Br 0.267 0.721 0.439 1
Br4 Br 0.267 0.779 0.939 1
Br5 Br 0.383 0.038 0.270 1
Br6 Br 0.383 0.462 0.770 1
Br7 Br 0.617 0.538 0.230 1
Br8 Br 0.617 0.962 0.730 1
Br9 Br 0.733 0.221 0.061 1
Br10 Br 0.733 0.279 0.561 1
Br11 Br 0.839 0.680 0.054 1
Br12 Br 0.839 0.820 0.554 1
```